Calculated X-ray powder pattern
Compound: WSe2
Radiation: copper Kα
Structure: a crystal structure in the Materials Project, relaxed with GGA-PBE
Neutral-atom scattering factors, no anomalous dispersion.

Most intense lines, 15 to 90 degrees two-theta, by angle:
- 2θ = 31.05°, 2.880 Å, I 50, hkl 1 0 0
- 2θ = 33.03°, 2.712 Å, I 26, hkl 1 0 5
- 2θ = 33.87°, 2.646 Å, I 12, hkl 0 1 6
- 2θ = 35.94°, 2.499 Å, I 100, hkl 1 0 8
- 2θ = 37.15°, 2.420 Å, I 11, hkl 1 0 9
- 2θ = 42.93°, 2.107 Å, I 83, hkl 0 1 13
- 2θ = 44.58°, 2.032 Å, I 33, hkl 1 0 14
- 2θ = 55.22°, 1.663 Å, I 39, hkl 1 1 0
- 2θ = 56.49°, 1.629 Å, I 22, hkl 1 1 5
- 2θ = 67.64°, 1.385 Å, I 19, hkl 0 2 8
- 2θ = 72.38°, 1.306 Å, I 18, hkl 2 0 13
- 2θ = 75.81°, 1.255 Å, I 17, hkl 1 1 21

Crystal structure
a b c (Å): 3.3271 3.3271 40.1379
angles (deg): 90.00 90.00 120.00
Sites, in units of the cell vectors:
W (0.3333, 0.6667, 0.0939)
W (0.3333, 0.6667, 0.7184)
W (0.6667, 0.3333, 0.2816)
W (0.6667, 0.3333, 0.9061)
Se (0.3333, 0.6667, 0.2397)
Se (0.3333, 0.6667, 0.3235)
Se (0.3333, 0.6667, 0.8643)
Se (0.3333, 0.6667, 0.9480)
Se (0.6667, 0.3333, 0.0520)
Se (0.6667, 0.3333, 0.1357)
Se (0.6667, 0.3333, 0.6765)
Se (0.6667, 0.3333, 0.7603)